(1)
Starting from a crystal structure in Alexandria, relaxed with GGA-PBE, the X-ray powder pattern of Tb4AuS3 was computed for Cu Kα.

The 6 most intense peaks (2θ = 5–70°), low angle first:
| two_theta | I_rel |
| --- | --- |
| 27.0 | 19 |
| 31.5 | 51 |
| 31.7 | 100 |
| 44.6 | 19 |
| 45.2 | 74 |
| 55.6 | 20 |

Structural model:
Lattice parameters (Å, degrees): 8.132 11.371 3.930 90.00 90.00 90.00
Element x y z (fractional)
Tb: 0.000 0.245 0.000
Tb: 0.000 0.755 0.000
Tb: 0.241 0.000 0.500
Tb: 0.259 0.500 0.500
Tb: 0.500 0.255 0.000
Tb: 0.500 0.745 0.000
Tb: 0.741 0.500 0.500
Tb: 0.759 0.000 0.500
Au: 0.000 0.500 0.000
Au: 0.500 0.000 0.000
S: 0.000 0.000 0.000
S: 0.250 0.250 0.500
S: 0.250 0.750 0.500
S: 0.500 0.500 0.000
S: 0.750 0.250 0.500
S: 0.750 0.750 0.500

***

(2)
Starting from a crystal structure in Alexandria, relaxed with GGA-PBE, the X-ray powder pattern of SbAsC was computed for Cu Kα.

The 6 most intense peaks (2θ = 5–70°), low angle first:
| two_theta | I_rel |
| --- | --- |
| 22.1 | 40 |
| 25.5 | 37 |
| 30.7 | 35 |
| 31.5 | 31 |
| 32.5 | 100 |
| 38.1 | 82 |

Structural model:
Lattice parameters (Å, degrees): 4.689 4.012 7.108 90.00 93.62 90.00
Element x y z (fractional)
Sb: 0.000 0.000 0.000
Sb: 0.039 0.500 0.377
As: 0.445 0.000 0.712
As: 0.649 0.000 0.366
C: 0.694 0.335 0.845
C: 0.694 0.665 0.845

***

(3)
Starting from a crystal structure in Alexandria, relaxed with GGA-PBE, the X-ray powder pattern of HoAsIO4 was computed for Cu Kα.

The 6 most intense peaks (2θ = 5–70°), low angle first:
| two_theta | I_rel |
| --- | --- |
| 18.1 | 26 |
| 27.0 | 40 |
| 27.1 | 99 |
| 28.1 | 100 |
| 32.5 | 31 |
| 39.3 | 29 |

Structural model:
Lattice parameters (Å, degrees): 6.704 6.704 6.768 100.72 100.72 56.60
Element x y z (fractional)
Ho: 0.200 0.200 0.329
Ho: 0.800 0.800 0.671
As: 0.134 0.134 0.759
As: 0.866 0.866 0.241
I: 0.466 0.466 0.800
I: 0.534 0.534 0.200
O: 0.012 0.012 0.273
O: 0.024 0.612 0.375
O: 0.200 0.200 0.007
O: 0.388 0.976 0.625
O: 0.612 0.024 0.375
O: 0.800 0.800 0.993
O: 0.976 0.388 0.625
O: 0.988 0.988 0.727

***

(4)
Starting from a crystal structure in Alexandria, relaxed with GGA-PBE, the X-ray powder pattern of Ce4Pm3Sn4 was computed for Cu Kα.

The 6 most intense peaks (2θ = 5–70°), low angle first:
| two_theta | I_rel |
| --- | --- |
| 28.8 | 100 |
| 29.1 | 28 |
| 32.9 | 57 |
| 34.2 | 43 |
| 36.0 | 40 |
| 40.1 | 38 |

Structural model:
Lattice parameters (Å, degrees): 9.786 9.786 9.786 156.68 115.13 69.95
Element x y z (fractional)
Ce: 0.035 0.807 0.229
Ce: 0.422 0.193 0.229
Ce: 0.578 0.807 0.771
Ce: 0.965 0.193 0.771
Pm: 0.000 0.500 0.500
Pm: 0.390 0.390 0.000
Pm: 0.610 0.610 0.000
Sn: 0.224 0.724 0.500
Sn: 0.282 0.000 0.282
Sn: 0.718 0.000 0.718
Sn: 0.776 0.276 0.500